This entry pairs a crystal structure of Tl2CoP4H8O16 with its simulated powder X-ray diffraction pattern. Radiation: Cu Ka. Structure: a crystal structure in Alexandria, relaxed with GGA+U.

Cell and atoms:
```
Tl2CoP4H8O16
1.0
7.1274 0.0000 0.0000
0.3059 7.5509 0.0000
2.2183 1.0511 7.3326
Tl Co P H O
2 1 4 8 16
Cartesian
1.6374 1.9872 2.1946
8.0141 6.6148 5.1380
4.6728 0.5255 3.6663
3.6098 3.0656 5.5238
3.1471 6.0049 1.7772
6.5044 2.5971 5.5555
6.0417 5.5364 1.8088
0.8021 5.8637 0.6244
3.0885 4.5789 3.5055
4.7908 7.0316 6.2547
4.5036 5.8729 5.1945
5.1480 2.7290 2.1382
4.8607 1.5704 1.0779
6.5630 4.0231 3.8272
8.8495 2.7382 6.7082
2.7212 3.0257 6.8141
2.6993 4.6947 2.5280
2.2199 6.2492 0.6055
3.3481 1.8995 4.5900
3.5692 4.4401 4.8585
3.3079 7.1495 2.7652
5.0644 2.9138 6.2381
4.9806 6.7389 5.3218
4.6709 1.8631 2.0108
4.5871 5.6881 1.0945
6.3436 1.4525 4.5674
6.0823 4.1618 2.4741
6.3034 6.7024 2.7426
7.4317 2.3528 6.7271
6.9523 3.9072 4.8047
6.9303 5.5763 0.5186
```

Top 8 peaks for 15° ≤ 2θ ≤ 90°, by angle:
hkl 1 0 1, 15.0°, rel. 36
hkl 0 1 1, 15.7°, rel. 34
hkl 1 1 0, 17.6°, rel. 66
hkl 0 2 0, 23.8°, rel. 62
hkl 1 1 -1, 24.3°, rel. 100
hkl 2 0 1, 25.5°, rel. 45
hkl 2 -1 0, 28.7°, rel. 72
hkl 0 2 2, 31.7°, rel. 36